[1]
Structure and theoretical X-ray powder pattern of Dy3TmH8 (DFT lattice parameters and positions (GGA-PBE); Cu Kα).

Main lines, sorted by position (2θ = 10–90°):
| hkl | two_theta | Rel. int. |
| --- | --- | --- |
| 1 1 1 | 30.06 | 100 |
| 2 0 0 | 34.84 | 49 |
| 2 2 0 | 50.10 | 37 |
| 3 1 1 | 59.54 | 44 |
| 2 2 2 | 62.48 | 12 |
| 4 0 0 | 73.57 | 6 |
| 3 3 1 | 81.47 | 18 |
| 4 2 0 | 84.06 | 17 |

Structural model:
Lattice parameters (Å, degrees): 5.150 5.150 5.150 90.00 90.00 90.00
Space group Pm-3m (No. 221)
Unique sites:
Dy: 0.000 0.000 0.500
Tm: 0.500 0.500 0.500
H: 0.253 0.253 0.253


[2]
Structure and theoretical X-ray powder pattern of Dy4Hf (DFT lattice parameters and positions (GGA-PBE); Cu Kα).

Main lines, sorted by position (2θ = 10–90°):
| hkl | two_theta | Rel. int. |
| --- | --- | --- |
| 1 0 0 | 15.92 | 25 |
| 1 1 0 | 22.59 | 22 |
| 1 1 1 | 27.76 | 63 |
| 2 0 0 | 32.16 | 100 |
| 2 1 0 | 36.08 | 14 |
| 2 2 0 | 46.13 | 74 |
| 3 1 1 | 54.69 | 29 |
| 2 2 2 | 57.35 | 26 |
| 4 2 0 | 76.55 | 33 |
| 4 2 2 | 85.46 | 26 |

Structural model:
Lattice parameters (Å, degrees): 5.566 5.566 5.566 90.00 90.00 90.00
Space group Pm-3m (No. 221)
Unique sites:
Dy: 0.000 0.000 0.000
Dy: 0.000 0.500 0.500
Hf: 0.500 0.500 0.500


[3]
Structure and theoretical X-ray powder pattern of Dy14HoHf (DFT lattice parameters and positions (GGA-PBE); Cu Kα).

Main lines, sorted by position (2θ = 10–90°):
| hkl | two_theta | Rel. int. |
| --- | --- | --- |
| 2 0 2 | 31.21 | 100 |
| 2 2 0 | 36.19 | 50 |
| 4 0 0 | 52.11 | 36 |
| 4 2 2 | 62.00 | 42 |
| 4 0 4 | 65.09 | 12 |
| 4 4 0 | 76.74 | 4 |
| 0 0 8 | 76.92 | 2 |
| 6 0 2 | 85.20 | 17 |
| 6 2 0 | 87.92 | 11 |
| 2 2 8 | 88.07 | 5 |

Structural model:
Lattice parameters (Å, degrees): 7.025 7.025 9.916 90.00 90.00 90.00
Space group P4/mmm (No. 123)
Unique sites:
Dy: 0.000 0.000 0.000
Dy: 0.000 0.500 0.000
Dy: 0.000 0.500 0.500
Dy: 0.245 0.245 0.256
Dy: 0.500 0.500 0.000
Ho: 0.500 0.500 0.500
Hf: 0.000 0.000 0.500


[4]
Structure and theoretical X-ray powder pattern of Dy4HfIr5 (DFT lattice parameters and positions (GGA-PBE); Cu Kα).

Main lines, sorted by position (2θ = 10–90°):
| hkl | two_theta | Rel. int. |
| --- | --- | --- |
| 1 0 5 | 37.09 | 100 |
| 1 1 0 | 38.15 | 49 |
| 1 0 6 | 40.92 | 2 |
| 0 0 10 | 51.85 | 8 |
| 2 0 0 | 55.05 | 17 |
| 1 1 10 | 66.16 | 17 |
| 2 1 5 | 68.25 | 34 |
| 2 0 10 | 79.01 | 10 |
| 2 2 0 | 81.64 | 7 |
| 1 0 15 | 88.10 | 6 |

Structural model:
Lattice parameters (Å, degrees): 3.336 3.336 17.634 90.00 90.00 90.00
Space group P4/mmm (No. 123)
Unique sites:
Dy: 0.000 0.000 0.102
Dy: 0.000 0.000 0.305
Hf: 0.000 0.000 0.500
Ir: 0.500 0.500 0.000
Ir: 0.500 0.500 0.205
Ir: 0.500 0.500 0.413


[5]
Structure and theoretical X-ray powder pattern of DyHfIr (DFT lattice parameters and positions (GGA-PBE); Cu Kα).

Main lines, sorted by position (2θ = 10–90°):
| hkl | two_theta | Rel. int. |
| --- | --- | --- |
| 1 3 1 | 32.00 | 82 |
| 1 4 0 | 35.30 | 100 |
| 2 0 0 | 39.10 | 78 |
| 1 4 2 | 43.93 | 37 |
| 0 6 0 | 44.57 | 30 |
| 2 1 3 | 56.49 | 25 |
| 2 6 0 | 60.78 | 28 |
| 3 3 1 | 66.45 | 10 |
| 3 4 0 | 68.43 | 15 |
| 1 7 3 | 70.33 | 28 |

Structural model:
Lattice parameters (Å, degrees): 4.605 12.187 7.047 90.00 90.00 90.00
Space group Amm2 (No. 38)
Unique sites:
Dy: 0.000 0.000 0.000
Dy: 0.000 0.208 0.376
Hf: 0.500 0.000 0.331
Hf: 0.500 0.127 0.711
Ir: 0.000 0.000 0.585
Ir: 0.500 0.166 0.084


[6]
Structure and theoretical X-ray powder pattern of Dy3HfIr4 (DFT lattice parameters and positions (GGA-PBE); Cu Kα).

Main lines, sorted by position (2θ = 10–90°):
| hkl | two_theta | Rel. int. |
| --- | --- | --- |
| 1 0 4 | 37.17 | 100 |
| 1 1 0 | 38.26 | 49 |
| 0 0 8 | 51.90 | 8 |
| 2 0 0 | 55.22 | 17 |
| 1 1 8 | 66.28 | 16 |
| 2 1 4 | 68.45 | 34 |
| 2 0 8 | 79.19 | 10 |
| 1 0 11 | 80.27 | 2 |
| 2 2 0 | 81.90 | 6 |
| 1 0 12 | 88.22 | 6 |

Structural model:
Lattice parameters (Å, degrees): 3.327 3.327 14.094 90.00 90.00 90.00
Space group P4/mmm (No. 123)
Unique sites:
Dy: 0.000 0.000 0.000
Dy: 0.000 0.000 0.255
Hf: 0.000 0.000 0.500
Ir: 0.500 0.500 0.129
Ir: 0.500 0.500 0.391


[7]
Structure and theoretical X-ray powder pattern of DyHfIrOs (DFT lattice parameters and positions (GGA-PBE); Cu Kα).

Main lines, sorted by position (2θ = 10–90°):
| hkl | two_theta | Rel. int. |
| --- | --- | --- |
| 2 2 0 | 38.17 | 100 |
| 4 0 0 | 55.09 | 17 |
| 4 2 2 | 68.99 | 36 |
| 4 4 0 | 81.68 | 11 |

Structural model:
Lattice parameters (Å, degrees): 6.668 6.668 6.668 90.00 90.00 90.00
Space group F-43m (No. 216)
Unique sites:
Dy: 0.000 0.000 0.000
Hf: 0.000 0.000 0.500
Ir: 0.250 0.250 0.250
Os: 0.250 0.250 0.750